No. 1
Simulated powder diffraction line list of KS14Br for Cu Ka, from DFT lattice parameters and positions (GGA-PBE).
Lines closer than 0.1° are merged.

a = 12.334 Å, b = 12.334 Å, c = 12.334 Å
α = 119.36°, β = 83.60°, γ = 128.40°
Fractional coordinates of all 32 atoms:
K 0.500 0.000 0.000
K 0.500 0.500 0.500
S 0.058 0.749 0.309
S 0.060 0.251 0.809
S 0.087 0.921 0.165
S 0.130 0.460 0.258
S 0.130 0.872 0.670
S 0.222 0.528 0.431
S 0.222 0.792 0.694
S 0.256 0.921 0.335
S 0.286 0.223 0.063
S 0.298 0.128 0.758
S 0.298 0.540 0.170
S 0.340 0.777 0.563
S 0.402 0.208 0.931
S 0.402 0.472 0.194
S 0.598 0.528 0.806
S 0.598 0.792 0.069
S 0.660 0.223 0.437
S 0.702 0.460 0.830
S 0.702 0.872 0.242
S 0.714 0.777 0.937
S 0.744 0.079 0.665
S 0.778 0.208 0.306
S 0.778 0.472 0.569
S 0.870 0.128 0.330
S 0.870 0.540 0.742
S 0.913 0.079 0.835
S 0.940 0.749 0.191
S 0.942 0.251 0.691
Br 0.386 0.636 0.750
Br 0.614 0.364 0.250

Most intense lines, 5 to 70 degrees two-theta, by angle:
| Position (°2θ) | d [Å] | I/Imax |
| --- | --- | --- |
| 9.58 | 9.234 | 44.2 |
| 16.51 | 5.368 | 100.0 |
| 17.20 | 5.156 | 89.2 |
| 18.64 | 4.761 | 81.4 |
| 19.31 | 4.597 | 27.6 |
| 21.97 | 4.046 | 42.9 |
| 25.58 | 3.482 | 51.0 |
| 29.40 | 3.038 | 54.0 |
| 32.34 | 2.768 | 27.2 |
| 34.50 | 2.600 | 50.8 |

=====

No. 2
Simulated powder diffraction line list of K6SBr4 for Cu Ka, from DFT lattice parameters and positions (GGA-PBE).
Lines closer than 0.1° are merged.

a = 9.488 Å, b = 9.488 Å, c = 9.488 Å
α = 90.55°, β = 90.55°, γ = 90.55°
Fractional coordinates of all 22 atoms:
K 0.051 0.930 0.700
K 0.070 0.300 0.949
K 0.200 0.430 0.551
K 0.300 0.949 0.070
K 0.430 0.551 0.200
K 0.449 0.800 0.570
K 0.551 0.200 0.430
K 0.570 0.449 0.800
K 0.700 0.051 0.930
K 0.800 0.570 0.449
K 0.930 0.700 0.051
K 0.949 0.070 0.300
S 0.000 0.000 0.000
S 0.500 0.500 0.500
Br 0.105 0.750 0.395
Br 0.250 0.250 0.250
Br 0.250 0.605 0.895
Br 0.395 0.105 0.750
Br 0.605 0.895 0.250
Br 0.750 0.395 0.105
Br 0.750 0.750 0.750
Br 0.895 0.250 0.605

Most intense lines, 5 to 70 degrees two-theta, by angle:
| Position (°2θ) | d [Å] | I/Imax |
| --- | --- | --- |
| 21.02 | 4.226 | 42.6 |
| 22.87 | 3.888 | 83.2 |
| 28.10 | 3.176 | 27.6 |
| 29.87 | 2.991 | 44.2 |
| 31.24 | 2.863 | 100.0 |
| 33.02 | 2.713 | 22.3 |
| 39.06 | 2.306 | 21.3 |
| 40.14 | 2.247 | 21.2 |
| 40.54 | 2.225 | 21.2 |
| 46.68 | 1.946 | 23.1 |

=====

No. 3
Simulated powder diffraction line list of K2SBr5 for Cu Ka, from DFT lattice parameters and positions (GGA-PBE).
Lines closer than 0.1° are merged.

a = 7.269 Å, b = 7.269 Å, c = 7.269 Å
α = 115.98°, β = 115.98°, γ = 97.11°
Fractional coordinates of all 8 atoms:
K 0.000 0.500 0.500
K 0.500 0.000 0.500
S 0.254 0.254 0.000
Br 0.012 0.012 0.540
Br 0.012 0.472 0.000
Br 0.472 0.012 0.000
Br 0.472 0.472 0.460
Br 0.542 0.542 0.000

Most intense lines, 5 to 70 degrees two-theta, by angle:
| Position (°2θ) | d [Å] | I/Imax |
| --- | --- | --- |
| 14.73 | 6.015 | 26.8 |
| 18.44 | 4.811 | 20.8 |
| 29.71 | 3.007 | 100.0 |
| 30.18 | 2.961 | 10.8 |
| 32.88 | 2.724 | 51.0 |
| 37.38 | 2.406 | 15.8 |
| 47.18 | 1.926 | 16.2 |
| 50.62 | 1.803 | 23.2 |
| 56.75 | 1.622 | 24.8 |
| 61.69 | 1.504 | 11.4 |

=====

- Which formula does entry 2 have?
  K6SBr4